# 1
# Na8MgCr2O8
Computed powder diffraction line list, Cu Ka. Input: a structure optimized by DFT (GGA+U).

Principal peaks in the range 15° ≤ 2θ ≤ 90°, in order of rising 2θ:
| (hkl) | Position (°2θ) | I (rel.) |
| --- | --- | --- |
| 1 0 0 | 16.83 | 87.8 |
| 0 1 1 | 19.06 | 92.1 |
| 0 2 0 | 32.42 | 93.1 |
| -1 1 2 | 37.02 | 89.3 |
| 2 2 1 | 37.28 | 100.0 |
| 1 -1 3 | 38.31 | 89.6 |

Structure:
a = 5.836 Å, b = 5.902 Å, c = 8.916 Å
α = 83.80°, β = 73.50°, γ = 69.34°
Space group P1 (No. 1)
Symmetry-distinct sites (fractional):
Na 0.000 0.000 0.000 (multiplicity 1)
Na 0.024 0.457 0.796 (multiplicity 1)
Na 0.125 0.488 0.419 (multiplicity 1)
Na 0.283 0.978 0.219 (multiplicity 1)
Na 0.444 0.556 0.744 (multiplicity 1)
Na 0.588 0.982 0.811 (multiplicity 1)
Na 0.745 0.922 0.366 (multiplicity 1)
Na 0.851 0.510 0.121 (multiplicity 1)
Mg 0.607 0.368 0.439 (multiplicity 1)
Cr 0.188 0.001 0.578 (multiplicity 1)
Cr 0.390 0.450 0.079 (multiplicity 1)
O 0.046 0.856 0.759 (multiplicity 1)
O 0.087 0.697 0.188 (multiplicity 1)
O 0.249 0.260 0.991 (multiplicity 1)
O 0.353 0.233 0.590 (multiplicity 1)
O 0.481 0.713 0.484 (multiplicity 1)
O 0.588 0.287 0.231 (multiplicity 1)
O 0.616 0.590 0.938 (multiplicity 1)
O 0.956 0.184 0.453 (multiplicity 1)

***

# 2
# NaMg6CrO8
Computed powder diffraction line list, Cu Ka. Input: a structure optimized by DFT (GGA+U).

Principal peaks in the range 15° ≤ 2θ ≤ 90°, in order of rising 2θ:
| (hkl) | Position (°2θ) | I (rel.) |
| --- | --- | --- |
| 1 1 2 | 36.22 | 24.5 |
| 0 0 4 | 41.89 | 48.3 |
| 2 0 0 | 42.17 | 100.0 |
| 2 0 4 | 60.94 | 53.6 |
| 2 2 0 | 61.16 | 28.0 |
| 2 2 4 | 76.89 | 24.0 |

Structure:
a = 4.286 Å, b = 4.286 Å, c = 8.627 Å
α = 90.00°, β = 90.00°, γ = 90.00°
Space group P4/mmm (No. 123)
Symmetry-distinct sites (fractional):
Na 0.000 0.000 0.000 (multiplicity 1)
Mg 0.000 0.500 0.238 (multiplicity 4)
Mg 0.500 0.500 0.000 (multiplicity 1)
Mg 0.500 0.500 0.500 (multiplicity 1)
Cr 0.000 0.000 0.500 (multiplicity 1)
O 0.000 0.000 0.273 (multiplicity 2)
O 0.000 0.500 0.000 (multiplicity 2)
O 0.000 0.500 0.500 (multiplicity 2)
O 0.500 0.500 0.255 (multiplicity 2)

***

# 3
# Mg2Nb2CrO8
Computed powder diffraction line list, Cu Ka. Input: a structure optimized by DFT (GGA+U).

Principal peaks in the range 15° ≤ 2θ ≤ 90°, in order of rising 2θ:
| (hkl) | Position (°2θ) | I (rel.) |
| --- | --- | --- |
| 3 1 -1 | 26.24 | 98.6 |
| 5 1 0 | 27.30 | 82.8 |
| 5 1 -1 | 32.10 | 100.0 |
| 5 1 1 | 32.56 | 99.9 |
| 0 2 1 | 34.15 | 96.5 |
| 8 0 -2 | 51.04 | 91.2 |

Structure:
a = 19.376 Å, b = 6.077 Å, c = 5.219 Å
α = 90.00°, β = 91.03°, γ = 90.00°
Space group Cc (No. 9)
Symmetry-distinct sites (fractional):
Mg 0.000 0.143 0.000 (multiplicity 4)
Mg 0.044 0.357 0.506 (multiplicity 4)
Nb 0.154 0.168 0.015 (multiplicity 4)
Nb 0.390 0.163 0.994 (multiplicity 4)
Cr 0.273 0.347 0.498 (multiplicity 4)
O 0.080 0.354 0.873 (multiplicity 4)
O 0.084 0.108 0.298 (multiplicity 4)
O 0.198 0.108 0.685 (multiplicity 4)
O 0.215 0.373 0.165 (multiplicity 4)
O 0.331 0.357 0.826 (multiplicity 4)
O 0.345 0.115 0.326 (multiplicity 4)
O 0.460 0.102 0.706 (multiplicity 4)
O 0.464 0.355 0.132 (multiplicity 4)

***

# 4
# Nd2MgCr2O8
Computed powder diffraction line list, Cu Ka. Input: a structure optimized by DFT (GGA+U).

Principal peaks in the range 15° ≤ 2θ ≤ 90°, in order of rising 2θ:
| (hkl) | Position (°2θ) | I (rel.) |
| --- | --- | --- |
| 1 1 -1 | 18.01 | 17.7 |
| 0 2 1 | 23.38 | 100.0 |
| 2 0 0 | 31.75 | 22.1 |
| 2 0 -2 | 32.19 | 54.3 |
| 2 4 0 | 47.00 | 32.3 |
| 0 4 2 | 47.82 | 17.4 |

Structure:
a = 6.526 Å, b = 10.643 Å, c = 6.300 Å
α = 90.00°, β = 120.27°, γ = 90.00°
Space group C2 (No. 5)
Symmetry-distinct sites (fractional):
Nd 0.000 0.000 0.000 (multiplicity 2)
Nd 0.000 0.226 0.500 (multiplicity 2)
Mg 0.000 0.710 0.000 (multiplicity 2)
Cr 0.000 0.453 0.000 (multiplicity 2)
Cr 0.000 0.724 0.500 (multiplicity 2)
O 0.073 0.809 0.296 (multiplicity 4)
O 0.113 0.371 0.837 (multiplicity 4)
O 0.231 0.137 0.330 (multiplicity 4)
O 0.240 0.573 0.155 (multiplicity 4)

***

# 5
# Nd2MgCr2O8
Computed powder diffraction line list, Cu Ka. Input: a structure optimized by DFT (GGA+U).

Principal peaks in the range 15° ≤ 2θ ≤ 90°, in order of rising 2θ:
| (hkl) | Position (°2θ) | I (rel.) |
| --- | --- | --- |
| -1 1 1 | 23.48 | 100.0 |
| 1 1 -1 | 23.72 | 97.1 |
| 1 0 1 | 31.72 | 79.8 |
| 1 -2 1 | 32.56 | 40.2 |
| 2 -1 0 | 32.79 | 37.1 |
| -2 2 2 | 48.00 | 52.1 |

Structure:
a = 6.126 Å, b = 6.197 Å, c = 6.336 Å
α = 105.49°, β = 116.90°, γ = 104.98°
Space group P1 (No. 1)
Symmetry-distinct sites (fractional):
Nd 0.000 0.000 0.000 (multiplicity 1)
Nd 0.255 0.530 0.795 (multiplicity 1)
Mg 0.431 0.547 0.410 (multiplicity 1)
Cr 0.527 0.056 0.531 (multiplicity 1)
Cr 0.791 0.529 0.256 (multiplicity 1)
O 0.007 0.381 0.269 (multiplicity 1)
O 0.332 0.822 0.188 (multiplicity 1)
O 0.370 0.262 0.525 (multiplicity 1)
O 0.419 0.344 0.097 (multiplicity 1)
O 0.503 0.850 0.693 (multiplicity 1)
O 0.758 0.715 0.089 (multiplicity 1)
O 0.876 0.666 0.595 (multiplicity 1)
O 0.884 0.194 0.698 (multiplicity 1)

***

# 6
# MgCrNiP2O9
Computed powder diffraction line list, Cu Ka. Input: a structure optimized by DFT (GGA+U).

Principal peaks in the range 15° ≤ 2θ ≤ 90°, in order of rising 2θ:
| (hkl) | Position (°2θ) | I (rel.) |
| --- | --- | --- |
| 2 0 1 | 17.37 | 56.0 |
| 3 0 1 | 22.45 | 39.1 |
| 1 0 2 | 24.80 | 100.0 |
| 1 2 1 | 31.60 | 73.7 |
| 5 0 1 | 34.11 | 39.1 |
| 5 2 3 | 57.67 | 36.0 |

Structure:
a = 14.053 Å, b = 6.274 Å, c = 7.427 Å
α = 90.00°, β = 90.00°, γ = 90.00°
Space group Pnma (No. 62)
Symmetry-distinct sites (fractional):
Mg 0.224 0.250 0.072 (multiplicity 4)
Cr 0.117 0.250 0.643 (multiplicity 4)
Ni 0.000 0.000 0.000 (multiplicity 4)
P 0.068 0.750 0.646 (multiplicity 4)
P 0.196 0.750 0.115 (multiplicity 4)
O 0.011 0.250 0.494 (multiplicity 4)
O 0.023 0.750 0.836 (multiplicity 4)
O 0.056 0.250 0.852 (multiplicity 4)
O 0.138 0.562 0.624 (multiplicity 8)
O 0.139 0.538 0.111 (multiplicity 8)
O 0.226 0.250 0.468 (multiplicity 4)
O 0.240 0.250 0.791 (multiplicity 4)

***

# 7
# MgCr4O8
Computed powder diffraction line list, Cu Ka. Input: a structure optimized by DFT (GGA+U).

Principal peaks in the range 15° ≤ 2θ ≤ 90°, in order of rising 2θ:
| (hkl) | Position (°2θ) | I (rel.) |
| --- | --- | --- |
| 1 1 0 | 18.06 | 100.0 |
| 0 0 1 | 18.34 | 83.9 |
| 0 2 1 | 34.90 | 38.7 |
| 3 1 -2 | 35.39 | 56.7 |
| 2 2 -2 | 42.63 | 71.2 |
| 2 2 2 | 62.39 | 48.7 |

Structure:
a = 10.248 Å, b = 6.070 Å, c = 5.931 Å
α = 90.00°, β = 125.37°, γ = 90.00°
Space group Cm (No. 8)
Symmetry-distinct sites (fractional):
Mg 0.000 0.000 0.000 (multiplicity 2)
Cr 0.124 0.248 0.624 (multiplicity 4)
Cr 0.382 0.000 0.135 (multiplicity 2)
Cr 0.382 0.000 0.625 (multiplicity 2)
O 0.102 0.500 0.384 (multiplicity 2)
O 0.102 0.500 0.819 (multiplicity 2)
O 0.142 0.000 0.414 (multiplicity 2)
O 0.142 0.000 0.869 (multiplicity 2)
O 0.368 0.221 0.867 (multiplicity 4)
O 0.385 0.212 0.384 (multiplicity 4)